Record 1
The following is a calculated PXRD pattern of SrTa2Tl2S7. It was derived from DFT lattice parameters and positions (PBE), using Cu Kα.
Neutral-atom scattering factors, no anomalous dispersion.

```
data_SrTa2Tl2S7
_space_group_name_H-M_alt 'R 3 2'
_space_group_IT_number 155
_space_group_name_Hall 'R 3 2"'
_cell_length_a 6.8628
_cell_length_b 6.8628
_cell_length_c 29.7819
_cell_angle_alpha 90.00
_cell_angle_beta 90.00
_cell_angle_gamma 120.00
loop_
_atom_site_label
_atom_site_type_symbol
_atom_site_fract_x
_atom_site_fract_y
_atom_site_fract_z
_atom_site_occupancy
Sr1 Sr 0.0000 0.0000 0.0000 1
Ta1 Ta 0.0000 0.0000 0.4211 1
Tl1 Tl 0.0000 0.0000 0.2063 1
S1 S 0.0000 0.0000 0.5000 1
S2 S 0.0013 0.3129 0.3970 1
```

Principal peaks in the range 10 to 90 degrees two-theta, by angle:
d [Å], I (rel.), (hkl)
4.207, 100, 0 1 5
3.431, 70, 1 1 0
3.243, 19, 1 1 3
2.661, 48, 2 0 5
2.382, 21, 1 1 9
2.102, 39, 1 2 5
2.003, 13, 0 1 14
1.981, 27, 3 0 0
1.589, 14, 3 1 5
1.442, 12, 0 4 5

Record 2
The following is a calculated PXRD pattern of RbTlS14. It was derived from DFT lattice parameters and positions (PBE), using Cu Kα.
Neutral-atom scattering factors, no anomalous dispersion.

```
data_RbTlS14
_space_group_name_H-M_alt 'I m m a'
_space_group_IT_number 74
_space_group_name_Hall '-I 2b 2'
_cell_length_a 7.885
_cell_length_b 15.320
_cell_length_c 16.270
_cell_angle_alpha 90.00
_cell_angle_beta 90.00
_cell_angle_gamma 90.00
loop_
_atom_site_label
_atom_site_type_symbol
_atom_site_fract_x
_atom_site_fract_y
_atom_site_fract_z
_atom_site_occupancy
Rb1 Rb 0.000 0.250 0.060 1
Tl1 Tl 0.250 0.250 0.750 1
S1 S 0.000 0.125 0.878 1
S2 S 0.000 0.129 0.624 1
S3 S 0.000 0.187 0.401 1
S4 S 0.241 0.096 0.309 1
S5 S 0.245 0.079 0.596 1
```

Principal peaks in the range 10 to 90 degrees two-theta, by angle:
d [Å], I (rel.), (hkl)
8.135, 20, 0 0 2
7.660, 29, 0 2 0
3.718, 100, 0 3 3
3.548, 27, 2 0 2
3.219, 27, 2 2 2
3.065, 41, 2 3 1
2.708, 18, 0 0 6
2.554, 18, 0 6 0
2.477, 26, 2 1 5
1.742, 18, 4 3 3

Record 3
The following is a calculated PXRD pattern of LiDy2Ga2Ni5. It was derived from DFT lattice parameters and positions (PBE), using Cu Kα.
Neutral-atom scattering factors, no anomalous dispersion.

```
data_LiDy2Ga2Ni5
_space_group_name_H-M_alt 'P 4/m b m'
_space_group_IT_number 127
_space_group_name_Hall '-P 4 2ab'
_cell_length_a 9.446
_cell_length_b 9.446
_cell_length_c 3.549
_cell_angle_alpha 90.00
_cell_angle_beta 90.00
_cell_angle_gamma 90.00
loop_
_atom_site_label
_atom_site_type_symbol
_atom_site_fract_x
_atom_site_fract_y
_atom_site_fract_z
_atom_site_occupancy
Li1 Li 0.000 0.000 0.000 1
Dy1 Dy 0.179 0.321 0.000 1
Ga1 Ga 0.118 0.618 0.000 1
Ni1 Ni 0.000 0.500 0.500 1
Ni2 Ni 0.061 0.787 0.500 1
```

Principal peaks in the range 10 to 90 degrees two-theta, by angle:
d [Å], I (rel.), (hkl)
6.680, 66, 1 1 0
2.837, 41, 2 0 1
2.717, 53, 2 1 1
2.291, 96, 4 1 0
2.285, 100, 3 1 1
2.227, 48, 3 3 0
2.108, 69, 3 2 1
1.966, 35, 4 0 1
1.774, 32, 0 0 2
1.403, 39, 4 1 2